No. 1
# K2Ga3
Theoretical powder X-ray diffraction pattern, Cu Kα. Input: a cell relaxed with GGA-PBE.

Crystal structure
Cell: 8.676 8.676 8.676 Å, 138.03 138.03 60.86°
Element x y z (fractional)
K1 0.110 0.110 0.000
K2 0.250 0.750 0.500
K3 0.750 0.250 0.500
K4 0.890 0.890 0.000
Ga1 0.206 0.500 0.706
Ga2 0.361 0.361 0.000
Ga3 0.500 0.206 0.706
Ga4 0.500 0.794 0.294
Ga5 0.639 0.639 0.000
Ga6 0.794 0.500 0.294

Largest 12 diffraction maxima, by angle, 2θ = 10–90°:
11.83°, rel. 69; 15.44°, rel. 71; 28.73°, rel. 50; 31.41°, rel. 100; 32.77°, rel. 23; 37.03°, rel. 58; 42.90°, rel. 34; 44.13°, rel. 23; 44.84°, rel. 15; 48.02°, rel. 31; 52.61°, rel. 15; 83.40°, rel. 17



No. 2
# RbAlCl4
Theoretical powder X-ray diffraction pattern, Cu Kα. Input: a cell relaxed with GGA-PBE.

Crystal structure
Cell: 11.533 7.261 9.455 Å, 90.00 90.00 90.00°
Element x y z (fractional)
Rb1 0.184 0.250 0.160
Rb2 0.316 0.750 0.660
Rb3 0.684 0.250 0.340
Rb4 0.816 0.750 0.840
Al1 0.063 0.250 0.690
Al2 0.437 0.750 0.190
Al3 0.563 0.250 0.810
Al4 0.937 0.750 0.310
Cl1 0.082 0.008 0.823
Cl2 0.082 0.492 0.823
Cl3 0.107 0.750 0.401
Cl4 0.199 0.250 0.534
Cl5 0.301 0.750 0.034
Cl6 0.393 0.250 0.901
Cl7 0.418 0.508 0.323
Cl8 0.418 0.992 0.323
Cl9 0.582 0.008 0.677
Cl10 0.582 0.492 0.677
Cl11 0.607 0.750 0.099
Cl12 0.699 0.250 0.966
Cl13 0.801 0.750 0.466
Cl14 0.893 0.250 0.599
Cl15 0.918 0.508 0.177
Cl16 0.918 0.992 0.177

Largest 12 diffraction maxima, by angle, 2θ = 10–90°:
19.66°, rel. 47; 21.81°, rel. 64; 23.75°, rel. 71; 24.52°, rel. 34; 29.07°, rel. 33; 29.96°, rel. 35; 30.60°, rel. 68; 31.91°, rel. 58; 32.04°, rel. 52; 32.45°, rel. 100; 33.44°, rel. 26; 55.48°, rel. 32



No. 3
# MnCdGa4Se8
Theoretical powder X-ray diffraction pattern, Cu Kα. Input: a cell relaxed with GGA-PBE.

Crystal structure
Cell: 5.830 5.830 10.981 Å, 90.00 90.00 90.00°
Element x y z (fractional)
Mn1 0.000 0.000 0.000
Cd1 0.500 0.500 0.500
Ga1 0.000 0.000 0.500
Ga2 0.000 0.500 0.249
Ga3 0.500 0.000 0.751
Ga4 0.500 0.500 0.000
Se1 0.228 0.238 0.638
Se2 0.238 0.772 0.362
Se3 0.255 0.739 0.869
Se4 0.261 0.255 0.131
Se5 0.739 0.745 0.131
Se6 0.745 0.261 0.869
Se7 0.762 0.228 0.362
Se8 0.772 0.762 0.638

Largest 12 diffraction maxima, by angle, 2θ = 10–90°:
17.22°, rel. 9; 27.05°, rel. 100; 43.92°, rel. 25; 45.38°, rel. 45; 52.35°, rel. 30; 54.89°, rel. 12; 63.86°, rel. 8; 70.66°, rel. 6; 72.82°, rel. 10; 81.78°, rel. 15; 84.87°, rel. 7; 87.05°, rel. 6



No. 4
# EuTlS2
Theoretical powder X-ray diffraction pattern, Cu Kα. Input: a cell relaxed with GGA-PBE.

Crystal structure
Cell: 4.192 4.192 22.006 Å, 90.00 90.00 120.00°
Element x y z (fractional)
Eu1 0.000 0.000 0.000
Eu2 0.333 0.667 0.667
Eu3 0.667 0.333 0.333
Tl1 0.000 0.000 0.500
Tl2 0.333 0.667 0.167
Tl3 0.667 0.333 0.833
S1 0.000 0.000 0.264
S2 0.000 0.000 0.736
S3 0.333 0.667 0.403
S4 0.333 0.667 0.931
S5 0.667 0.333 0.069
S6 0.667 0.333 0.597

Largest 12 diffraction maxima, by angle, 2θ = 10–90°:
24.27°, rel. 26; 25.84°, rel. 64; 29.48°, rel. 100; 41.17°, rel. 38; 43.16°, rel. 36; 48.37°, rel. 15; 50.13°, rel. 24; 53.13°, rel. 19; 61.17°, rel. 12; 67.91°, rel. 16; 70.77°, rel. 16; 77.78°, rel. 12



No. 5
# Tb3Se2NO
Theoretical powder X-ray diffraction pattern, Cu Kα. Input: a cell relaxed with GGA-PBE.

Crystal structure
Cell: 8.047 8.047 9.765 Å, 97.15 97.15 28.33°
Element x y z (fractional)
Tb1 0.044 0.044 0.261
Tb2 0.198 0.198 0.675
Tb3 0.391 0.391 0.054
Tb4 0.609 0.609 0.946
Tb5 0.802 0.802 0.325
Tb6 0.956 0.956 0.739
Se1 0.212 0.212 0.150
Se2 0.371 0.371 0.526
Se3 0.629 0.629 0.474
Se4 0.788 0.788 0.850
N1 0.098 0.098 0.813
N2 0.902 0.902 0.187
O1 0.464 0.464 0.860
O2 0.536 0.536 0.140

Largest 12 diffraction maxima, by angle, 2θ = 10–90°:
25.87°, rel. 13; 27.60°, rel. 50; 29.30°, rel. 12; 30.27°, rel. 100; 36.94°, rel. 32; 37.18°, rel. 16; 40.44°, rel. 16; 45.54°, rel. 32; 46.09°, rel. 19; 47.14°, rel. 9; 54.57°, rel. 15; 62.96°, rel. 9



No. 6
# Hg4GeS6
Theoretical powder X-ray diffraction pattern, Cu Kα. Input: a cell relaxed with GGA-PBE.

Crystal structure
Cell: 7.308 7.308 12.727 Å, 107.07 107.07 60.76°
Element x y z (fractional)
Hg1 0.055 0.945 0.500
Hg2 0.238 0.426 0.007
Hg3 0.426 0.238 0.507
Hg4 0.429 0.826 0.842
Hg5 0.687 0.934 0.190
Hg6 0.826 0.429 0.342
Hg7 0.934 0.687 0.690
Hg8 0.945 0.055 0.000
Ge1 0.286 0.829 0.256
Ge2 0.829 0.286 0.756
S1 0.067 0.568 0.503
S2 0.103 0.638 0.195
S3 0.123 0.146 0.205
S4 0.146 0.123 0.705
S5 0.172 0.706 0.883
S6 0.401 0.858 0.439
S7 0.568 0.067 0.003
S8 0.582 0.631 0.179
S9 0.631 0.582 0.679
S10 0.638 0.103 0.695
S11 0.706 0.172 0.383
S12 0.858 0.401 0.939

Largest 12 diffraction maxima, by angle, 2θ = 10–90°:
22.30°, rel. 53; 24.19°, rel. 40; 24.36°, rel. 45; 24.47°, rel. 58; 25.22°, rel. 76; 25.42°, rel. 100; 28.43°, rel. 80; 28.59°, rel. 45; 28.72°, rel. 41; 30.72°, rel. 65; 45.15°, rel. 63; 45.49°, rel. 46



No. 7
# ThGe2Os2
Theoretical powder X-ray diffraction pattern, Cu Kα. Input: a cell relaxed with GGA-PBE.

Crystal structure
Cell: 4.316 4.316 10.013 Å, 90.00 90.00 90.00°
Element x y z (fractional)
Th1 0.000 0.000 0.000
Th2 0.500 0.500 0.500
Ge1 0.000 0.000 0.371
Ge2 0.000 0.000 0.629
Ge3 0.500 0.500 0.129
Ge4 0.500 0.500 0.871
Os1 0.000 0.500 0.250
Os2 0.000 0.500 0.750
Os3 0.500 0.000 0.250
Os4 0.500 0.000 0.750

Largest 12 diffraction maxima, by angle, 2θ = 10–90°:
22.43°, rel. 11; 33.96°, rel. 34; 34.42°, rel. 100; 35.87°, rel. 13; 41.87°, rel. 47; 46.95°, rel. 11; 50.23°, rel. 10; 54.96°, rel. 18; 56.29°, rel. 15; 60.70°, rel. 16; 63.54°, rel. 19; 71.68°, rel. 25



No. 8
# Tb3Ge6Pt4
Theoretical powder X-ray diffraction pattern, Cu Kα. Input: a cell relaxed with GGA-PBE.

Crystal structure
Cell: 25.942 4.402 8.870 Å, 90.00 90.00 90.00°
Element x y z (fractional)
Tb1 0.092 0.250 0.114
Tb2 0.092 0.250 0.635
Tb3 0.220 0.250 0.875
Tb4 0.280 0.750 0.375
Tb5 0.408 0.750 0.135
Tb6 0.408 0.750 0.614
Tb7 0.592 0.250 0.386
Tb8 0.592 0.250 0.865
Tb9 0.720 0.250 0.625
Tb10 0.780 0.750 0.125
Tb11 0.908 0.750 0.365
Tb12 0.908 0.750 0.886
Ge1 0.001 0.250 0.377
Ge2 0.003 0.750 0.127
Ge3 0.139 0.750 0.874
Ge4 0.142 0.750 0.374
Ge5 0.214 0.250 0.227
Ge6 0.215 0.250 0.522
Ge7 0.285 0.750 0.022
Ge8 0.286 0.750 0.727
Ge9 0.358 0.250 0.874
Ge10 0.361 0.250 0.374
Ge11 0.497 0.250 0.627
Ge12 0.499 0.750 0.877
Ge13 0.501 0.250 0.123
Ge14 0.503 0.750 0.373
Ge15 0.639 0.750 0.626
Ge16 0.642 0.750 0.126
Ge17 0.714 0.250 0.273
Ge18 0.715 0.250 0.978
Ge19 0.785 0.750 0.478
Ge20 0.786 0.750 0.773
Ge21 0.858 0.250 0.626
Ge22 0.861 0.250 0.126
Ge23 0.997 0.250 0.873
Ge24 0.999 0.750 0.623
Pt1 0.045 0.750 0.872
Pt2 0.049 0.750 0.379
Pt3 0.187 0.750 0.122
Pt4 0.187 0.750 0.626
Pt5 0.313 0.250 0.126
Pt6 0.313 0.250 0.622
Pt7 0.451 0.250 0.879
Pt8 0.455 0.250 0.372
Pt9 0.545 0.750 0.628
Pt10 0.549 0.750 0.121
Pt11 0.687 0.750 0.378
Pt12 0.687 0.750 0.874
Pt13 0.813 0.250 0.374
Pt14 0.813 0.250 0.878
Pt15 0.951 0.250 0.621
Pt16 0.955 0.250 0.128

Largest 12 diffraction maxima, by angle, 2θ = 10–90°:
28.78°, rel. 30; 33.48°, rel. 100; 34.35°, rel. 58; 37.21°, rel. 46; 40.69°, rel. 36; 41.01°, rel. 51; 48.36°, rel. 16; 50.12°, rel. 20; 54.28°, rel. 16; 56.56°, rel. 25; 59.15°, rel. 24; 69.47°, rel. 30



Copy entry 8 word for word.
# Tb3Ge6Pt4
Theoretical powder X-ray diffraction pattern, Cu Kα. Input: a cell relaxed with GGA-PBE.

Crystal structure
Cell: 25.942 4.402 8.870 Å, 90.00 90.00 90.00°
Element x y z (fractional)
Tb1 0.092 0.250 0.114
Tb2 0.092 0.250 0.635
Tb3 0.220 0.250 0.875
Tb4 0.280 0.750 0.375
Tb5 0.408 0.750 0.135
Tb6 0.408 0.750 0.614
Tb7 0.592 0.250 0.386
Tb8 0.592 0.250 0.865
Tb9 0.720 0.250 0.625
Tb10 0.780 0.750 0.125
Tb11 0.908 0.750 0.365
Tb12 0.908 0.750 0.886
Ge1 0.001 0.250 0.377
Ge2 0.003 0.750 0.127
Ge3 0.139 0.750 0.874
Ge4 0.142 0.750 0.374
Ge5 0.214 0.250 0.227
Ge6 0.215 0.250 0.522
Ge7 0.285 0.750 0.022
Ge8 0.286 0.750 0.727
Ge9 0.358 0.250 0.874
Ge10 0.361 0.250 0.374
Ge11 0.497 0.250 0.627
Ge12 0.499 0.750 0.877
Ge13 0.501 0.250 0.123
Ge14 0.503 0.750 0.373
Ge15 0.639 0.750 0.626
Ge16 0.642 0.750 0.126
Ge17 0.714 0.250 0.273
Ge18 0.715 0.250 0.978
Ge19 0.785 0.750 0.478
Ge20 0.786 0.750 0.773
Ge21 0.858 0.250 0.626
Ge22 0.861 0.250 0.126
Ge23 0.997 0.250 0.873
Ge24 0.999 0.750 0.623
Pt1 0.045 0.750 0.872
Pt2 0.049 0.750 0.379
Pt3 0.187 0.750 0.122
Pt4 0.187 0.750 0.626
Pt5 0.313 0.250 0.126
Pt6 0.313 0.250 0.622
Pt7 0.451 0.250 0.879
Pt8 0.455 0.250 0.372
Pt9 0.545 0.750 0.628
Pt10 0.549 0.750 0.121
Pt11 0.687 0.750 0.378
Pt12 0.687 0.750 0.874
Pt13 0.813 0.250 0.374
Pt14 0.813 0.250 0.878
Pt15 0.951 0.250 0.621
Pt16 0.955 0.250 0.128

Largest 12 diffraction maxima, by angle, 2θ = 10–90°:
28.78°, rel. 30; 33.48°, rel. 100; 34.35°, rel. 58; 37.21°, rel. 46; 40.69°, rel. 36; 41.01°, rel. 51; 48.36°, rel. 16; 50.12°, rel. 20; 54.28°, rel. 16; 56.56°, rel. 25; 59.15°, rel. 24; 69.47°, rel. 30